Ca2Ni10H: simulated X-ray diffraction stick pattern (Cu Kα (weighted mean of Kα1 and Kα2)), based on a crystal structure in the Materials Project, relaxed with PBE.

The 6 most intense peaks (2θ = 5–70°), sorted by position:
| 2θ/deg | d (Å) | Rel. int. |
| --- | --- | --- |
| 20.28 | 4.379 | 29 |
| 20.64 | 4.304 | 46 |
| 42.77 | 2.114 | 100 |
| 43.32 | 2.089 | 50 |
| 46.45 | 1.955 | 48 |
| 48.27 | 1.885 | 65 |

Structural model:
abc: 5.0277 5.0277 7.8196
angles: 90.00 90.00 121.12
Sites, in units of the cell vectors:
1 Ca 0.0000 0.0000 0.0000
2 Ca 0.0000 0.0000 0.4997
3 Ni 0.0000 0.5000 0.2558
4 Ni 0.0000 0.5000 0.7446
5 Ni 0.3157 0.6843 0.0013
6 Ni 0.3401 0.6599 0.5002
7 Ni 0.5000 0.0000 0.2558
8 Ni 0.5000 0.0000 0.7446
9 Ni 0.5000 0.5000 0.2458
10 Ni 0.5000 0.5000 0.7532
11 Ni 0.6599 0.3401 0.5002
12 Ni 0.6843 0.3157 0.0013
13 H 0.5000 0.5000 0.9760